Theoretical powder X-ray diffraction pattern
Compound: SrB8O15
Radiation: CuKα
Structure: a structure optimized by DFT (GGA-PBE)
Neutral-atom scattering factors, no anomalous dispersion.

Crystal structure
abc: 7.675 8.336 10.045
angles: 90.00 109.42 90.00
Atoms (fractional coordinates):
1 Sr 0.107 0.000 0.273
2 Sr 0.893 0.500 0.727
3 B 0.008 0.334 0.483
4 B 0.035 0.343 0.025
5 B 0.102 0.094 0.910
6 B 0.109 0.093 0.648
7 B 0.117 0.392 0.282
8 B 0.389 0.498 0.725
9 B 0.395 0.505 0.473
10 B 0.398 0.100 0.858
11 B 0.602 0.600 0.142
12 B 0.605 0.005 0.527
13 B 0.611 0.998 0.275
14 B 0.883 0.892 0.718
15 B 0.891 0.593 0.352
16 B 0.898 0.594 0.090
17 B 0.965 0.843 0.975
18 B 0.992 0.834 0.517
19 O 0.012 0.246 0.600
20 O 0.028 0.255 0.908
21 O 0.033 0.022 0.760
22 O 0.047 0.992 0.005
23 O 0.080 0.980 0.531
24 O 0.081 0.282 0.384
25 O 0.108 0.291 0.161
26 O 0.269 0.497 0.798
27 O 0.298 0.471 0.338
28 O 0.305 0.103 0.954
29 O 0.307 0.121 0.716
30 O 0.311 0.515 0.578
31 O 0.415 0.576 0.095
32 O 0.422 0.042 0.473
33 O 0.424 0.983 0.223
34 O 0.576 0.483 0.777
35 O 0.578 0.542 0.527
36 O 0.585 0.076 0.905
37 O 0.689 0.015 0.422
38 O 0.693 0.621 0.284
39 O 0.695 0.603 0.046
40 O 0.702 0.971 0.662
41 O 0.731 0.997 0.202
42 O 0.892 0.791 0.839
43 O 0.919 0.782 0.616
44 O 0.920 0.480 0.469
45 O 0.953 0.492 0.995
46 O 0.967 0.522 0.240
47 O 0.972 0.755 0.092
48 O 0.988 0.746 0.400

Peak list (8 most intense, 15 to 90 degrees two-theta, in order of rising 2θ)
two_theta	I (rel.)
16.2	56
21.3	100
24.6	28
26.9	45
28.5	42
33.6	39
41.0	36
42.0	29

Theoretical powder X-ray diffraction pattern
Compound: SrBO3
Radiation: CuKα
Structure: a structure optimized by DFT (GGA-PBE)
Neutral-atom scattering factors, no anomalous dispersion.

Crystal structure
abc: 7.057 5.805 6.847
angles: 90.00 90.00 90.00
Atoms (fractional coordinates):
1 Sr 0.166 0.250 0.152
2 Sr 0.334 0.750 0.652
3 Sr 0.666 0.250 0.348
4 Sr 0.834 0.750 0.848
5 B 0.087 0.250 0.714
6 B 0.413 0.750 0.214
7 B 0.587 0.250 0.786
8 B 0.913 0.750 0.286
9 O 0.035 0.250 0.520
10 O 0.112 0.043 0.806
11 O 0.112 0.457 0.806
12 O 0.388 0.543 0.306
13 O 0.388 0.957 0.306
14 O 0.465 0.750 0.020
15 O 0.535 0.250 0.980
16 O 0.612 0.043 0.694
17 O 0.612 0.457 0.694
18 O 0.888 0.543 0.194
19 O 0.888 0.957 0.194
20 O 0.965 0.750 0.480

Peak list (8 most intense, 15 to 90 degrees two-theta, in order of rising 2θ)
two_theta	I (rel.)
20.1	66
23.7	58
29.0	37
29.6	100
30.8	31
42.4	47
42.8	52
44.5	39